# Rb2Ti3P4O18
Computed powder X-ray diffraction pattern, a wavelength of 1.5418 Å. Input: a cell relaxed with PBE.

Largest 10 diffraction maxima, most intense first, 10° ≤ 2θ ≤ 80°:
index  Position (°2θ)  Rel. int.
1 1 -3  27.22  100
0 5 1  28.22  63
1 3 1  30.91  60
0 4 0  20.92  46
1 3 -3  31.09  43
1 2 0  22.21  43
1 1 1  27.01  39
1 2 1  28.53  38
1 6 -1  35.95  35
1 0 0  19.56  30

Structure:
Unit cell a=5.3040 b=16.9851 c=10.1122 alpha=90.00 beta=121.17 gamma=90.00
Space group P2_1/c (No. 14)
Asymmetric unit:
Rb (0.0321, 0.1277, 0.3594) (multiplicity 4)
Ti (0.0000, 0.0000, 0.0000) (multiplicity 2)
Ti (0.4557, 0.6657, 0.6524) (multiplicity 4)
P (0.1321, 0.5835, 0.8265) (multiplicity 4)
P (0.2556, 0.1811, 0.0767) (multiplicity 4)
O (0.0144, 0.5205, 0.6973) (multiplicity 4)
O (0.0703, 0.7144, 0.5091) (multiplicity 4)
O (0.1320, 0.1308, 0.6844) (multiplicity 4)
O (0.2608, 0.0931, 0.1024) (multiplicity 4)
O (0.2863, 0.5450, 0.9880) (multiplicity 4)
O (0.3266, 0.5720, 0.5666) (multiplicity 4)
O (0.3322, 0.6441, 0.8062) (multiplicity 4)
O (0.3799, 0.2026, 0.9734) (multiplicity 4)
O (0.4263, 0.2210, 0.2345) (multiplicity 4)